This entry pairs a crystal structure of Er4AlSe2 with its simulated powder diffractogram. Radiation: copper Kα. Structure: DFT lattice parameters and positions (GGA-PBE).
Kinematic intensities with the Lorentz-polarization factor, no thermal factor.

Principal peaks in the range 2θ = 10–90°, low angle first:
| 2θ (°) | d/Å | I (rel.) |
| --- | --- | --- |
| 26.87 | 3.319 | 34 |
| 27.78 | 3.212 | 24 |
| 29.38 | 3.040 | 100 |
| 30.35 | 2.945 | 40 |
| 31.06 | 2.880 | 86 |
| 33.11 | 2.706 | 45 |
| 40.63 | 2.221 | 46 |
| 45.80 | 1.981 | 77 |
| 49.25 | 1.850 | 32 |
| 55.37 | 1.659 | 34 |

Crystal structure
Unit cell a=6.898 b=6.898 c=13.693 alpha=90.00 beta=90.00 gamma=146.63
Fractional coordinates of all 14 atoms:
Er (0.000, 0.000, 0.000)
Er (0.000, 0.000, 0.500)
Er (0.276, 0.724, 0.627)
Er (0.276, 0.724, 0.873)
Er (0.435, 0.565, 0.250)
Er (0.565, 0.435, 0.750)
Er (0.724, 0.276, 0.127)
Er (0.724, 0.276, 0.373)
Al (0.103, 0.897, 0.250)
Al (0.897, 0.103, 0.750)
Se (0.361, 0.639, 0.059)
Se (0.361, 0.639, 0.441)
Se (0.639, 0.361, 0.559)
Se (0.639, 0.361, 0.941)

---

This entry pairs a crystal structure of FeReSi with its simulated powder diffractogram. Radiation: copper Kα. Structure: DFT lattice parameters and positions (GGA-PBE).
Kinematic intensities with the Lorentz-polarization factor, no thermal factor.

Principal peaks in the range 2θ = 10–90°, low angle first:
| 2θ (°) | d/Å | I (rel.) |
| --- | --- | --- |
| 28.03 | 3.183 | 99 |
| 32.48 | 2.756 | 44 |
| 46.60 | 1.949 | 100 |
| 55.26 | 1.662 | 46 |
| 57.95 | 1.591 | 12 |
| 68.02 | 1.378 | 16 |
| 75.11 | 1.265 | 19 |
| 77.42 | 1.233 | 16 |
| 86.48 | 1.125 | 34 |

Crystal structure
Unit cell a=5.513 b=5.513 c=5.513 alpha=90.00 beta=90.00 gamma=90.00
Fractional coordinates of all 12 atoms:
Fe (0.000, 0.000, 0.000)
Fe (0.000, 0.500, 0.500)
Fe (0.500, 0.000, 0.500)
Fe (0.500, 0.500, 0.000)
Re (0.250, 0.250, 0.250)
Re (0.250, 0.750, 0.750)
Re (0.750, 0.250, 0.750)
Re (0.750, 0.750, 0.250)
Si (0.250, 0.250, 0.750)
Si (0.250, 0.750, 0.250)
Si (0.750, 0.250, 0.250)
Si (0.750, 0.750, 0.750)

---

This entry pairs a crystal structure of Cs3TeSe6 with its simulated powder diffractogram. Radiation: copper Kα. Structure: DFT lattice parameters and positions (GGA-PBE).
Kinematic intensities with the Lorentz-polarization factor, no thermal factor.

Principal peaks in the range 2θ = 10–90°, low angle first:
| 2θ (°) | d/Å | I (rel.) |
| --- | --- | --- |
| 25.71 | 3.465 | 23 |
| 26.57 | 3.354 | 100 |
| 29.68 | 3.010 | 96 |
| 33.49 | 2.675 | 27 |
| 39.95 | 2.257 | 15 |
| 42.71 | 2.117 | 17 |
| 43.80 | 2.067 | 15 |
| 44.88 | 2.020 | 28 |
| 52.91 | 1.730 | 18 |
| 54.71 | 1.678 | 15 |

Crystal structure
Unit cell a=9.286 b=9.286 c=9.286 alpha=103.30 beta=103.30 gamma=103.30
Fractional coordinates of all 20 atoms:
Cs (0.166, 0.750, 0.334)
Cs (0.250, 0.666, 0.834)
Cs (0.334, 0.166, 0.750)
Cs (0.666, 0.834, 0.250)
Cs (0.750, 0.334, 0.166)
Cs (0.834, 0.250, 0.666)
Te (0.000, 0.000, 0.000)
Te (0.500, 0.500, 0.500)
Se (0.031, 0.116, 0.338)
Se (0.116, 0.338, 0.031)
Se (0.162, 0.384, 0.469)
Se (0.338, 0.031, 0.116)
Se (0.384, 0.469, 0.162)
Se (0.469, 0.162, 0.384)
Se (0.531, 0.838, 0.616)
Se (0.616, 0.531, 0.838)
Se (0.662, 0.969, 0.884)
Se (0.838, 0.616, 0.531)
Se (0.884, 0.662, 0.969)
Se (0.969, 0.884, 0.662)

---

This entry pairs a crystal structure of Na3Hg8Bi with its simulated powder diffractogram. Radiation: copper Kα. Structure: DFT lattice parameters and positions (GGA-PBE).
Kinematic intensities with the Lorentz-polarization factor, no thermal factor.

Principal peaks in the range 2θ = 10–90°, low angle first:
| 2θ (°) | d/Å | I (rel.) |
| --- | --- | --- |
| 18.12 | 4.896 | 12 |
| 23.97 | 3.712 | 24 |
| 30.64 | 2.918 | 20 |
| 31.40 | 2.849 | 13 |
| 32.41 | 2.762 | 38 |
| 34.77 | 2.580 | 32 |
| 35.45 | 2.532 | 100 |
| 45.20 | 2.006 | 14 |
| 59.77 | 1.547 | 11 |
| 59.83 | 1.546 | 11 |

Crystal structure
Unit cell a=7.931 b=7.931 c=5.835 alpha=111.46 beta=111.46 gamma=88.29
Fractional coordinates of all 12 atoms:
Na (0.000, 0.000, 0.000)
Na (0.254, 0.747, 0.424)
Na (0.747, 0.254, 0.424)
Hg (0.079, 0.587, 0.742)
Hg (0.163, 0.163, 0.677)
Hg (0.330, 0.330, 0.380)
Hg (0.413, 0.922, 0.076)
Hg (0.587, 0.079, 0.742)
Hg (0.670, 0.670, 0.720)
Hg (0.837, 0.837, 0.351)
Hg (0.922, 0.413, 0.076)
Bi (0.500, 0.500, 0.077)